1.
The following is a calculated PXRD pattern of CdInGa. It was derived from a DFT-relaxed cell (PBE, Alexandria), using Cu Kα X-rays.
Peak positions follow from Bragg's law for the DFT cell and can differ from measured ones.

Atomic structure:
```
data_CdInGa
_chemical_formula_sum 'Cd4 In4 Ga4'
_cell_length_a 9.6379
_cell_length_b 9.6379
_cell_length_c 3.0742
_cell_angle_alpha 90.00
_cell_angle_beta 90.00
_cell_angle_gamma 90.00
_space_group_name_H-M_alt 'P 42/m'
_space_group_IT_number 84
loop_
_space_group_symop_operation_xyz
'x,y,z'
'-x,-y,-z'
'-y,x,z+1/2'
'y,-x,-z+1/2'
'-x,-y,z'
'x,y,-z'
'y,-x,z+1/2'
'-y,x,-z+1/2'
loop_
_atom_site_label
_atom_site_type_symbol
_atom_site_fract_x
_atom_site_fract_y
_atom_site_fract_z
Cd1 Cd 0.0865 0.8081 0.0000
In1 In 0.1180 0.3975 0.5000
Ga1 Ga 0.3424 0.6110 0.5000
```

Main lines, in order of falling intensity (2θ = 15–90°):
(hkl), two_theta, I (rel.)
2 3 0, 33.5, 100
2 1 1, 35.9, 76
4 0 0, 37.3, 40
2 0 1, 34.6, 27
3 1 1, 41.7, 24
2 2 1, 39.5, 22

---

2.
The following is a calculated PXRD pattern of Er2BeSiC. It was derived from a DFT-relaxed cell (PBE, Alexandria), using Cu Kα X-rays.
Peak positions follow from Bragg's law for the DFT cell and can differ from measured ones.

Atomic structure:
```
data_Er2BeSiC
_chemical_formula_sum 'Er4 Be2 Si2 C2'
_cell_length_a 6.2627
_cell_length_b 3.6915
_cell_length_c 7.8267
_cell_angle_alpha 90.00
_cell_angle_beta 107.75
_cell_angle_gamma 90.00
_space_group_name_H-M_alt 'P 1 21/m 1'
_space_group_IT_number 11
loop_
_space_group_symop_operation_xyz
'x,y,z'
'-x,-y,-z'
'-x,y+1/2,-z'
'x,-y+1/2,z'
loop_
_atom_site_label
_atom_site_type_symbol
_atom_site_fract_x
_atom_site_fract_y
_atom_site_fract_z
Er1 Er 0.1991 0.2500 0.3880
Er2 Er 0.2163 0.2500 0.9659
Be1 Be 0.4565 0.7500 0.2479
Si1 Si 0.3276 0.7500 0.7013
C1 C 0.1740 0.7500 0.1742
```

Main lines, in order of falling intensity (2θ = 15–90°):
(hkl), two_theta, I (rel.)
1 1 -2, 34.2, 100
1 1 0, 28.4, 94
2 0 0, 30.0, 48
2 0 -2, 32.2, 34
1 0 2, 32.0, 29
3 1 -2, 51.4, 21

---

3.
The following is a calculated PXRD pattern of Hf4PtRh7. It was derived from a DFT-relaxed cell (PBE, Alexandria), using Cu Kα X-rays.
Peak positions follow from Bragg's law for the DFT cell and can differ from measured ones.

Atomic structure:
```
data_Hf4PtRh7
_chemical_formula_sum 'Hf4 Pt1 Rh7'
_cell_length_a 5.5772
_cell_length_b 6.3787
_cell_length_c 6.4143
_cell_angle_alpha 73.45
_cell_angle_beta 78.91
_cell_angle_gamma 64.48
_space_group_name_H-M_alt 'P -1'
_space_group_IT_number 2
loop_
_space_group_symop_operation_xyz
'x,y,z'
'-x,-y,-z'
loop_
_atom_site_label
_atom_site_type_symbol
_atom_site_fract_x
_atom_site_fract_y
_atom_site_fract_z
Hf1 Hf 0.1012 0.2057 0.3142
Hf2 Hf 0.3418 0.6488 0.2970
Pt1 Pt 0.5000 0.0000 0.0000
Rh1 Rh 0.0000 0.0000 0.0000
Rh2 Rh 0.1739 0.3233 0.6700
Rh3 Rh 0.2467 0.5086 0.9892
Rh4 Rh 0.3787 0.8391 0.6498
```

Main lines, in order of falling intensity (2θ = 15–90°):
(hkl), two_theta, I (rel.)
0 2 -1, 38.3, 100
2 1 -1, 38.7, 49
2 1 2, 39.6, 45
2 -1 0, 45.1, 33
0 0 3, 44.3, 31
2 3 1, 45.5, 27

---

4.
The following is a calculated PXRD pattern of Pa3Se3O. It was derived from a DFT-relaxed cell (PBE, Alexandria), using Cu Kα X-rays.
Peak positions follow from Bragg's law for the DFT cell and can differ from measured ones.

Atomic structure:
```
data_Pa3Se3O
_chemical_formula_sum 'Pa12 Se12 O4'
_cell_length_a 8.0614
_cell_length_b 11.5433
_cell_length_c 6.9401
_cell_angle_alpha 90.00
_cell_angle_beta 97.62
_cell_angle_gamma 90.00
_space_group_name_H-M_alt 'C 1 2/m 1'
_space_group_IT_number 12
loop_
_space_group_symop_operation_xyz
'x,y,z'
'-x,-y,-z'
'-x,y,-z'
'x,-y,z'
'x+1/2,y+1/2,z'
'-x+1/2,-y+1/2,-z'
'-x+1/2,y+1/2,-z'
'x+1/2,-y+1/2,z'
loop_
_atom_site_label
_atom_site_type_symbol
_atom_site_fract_x
_atom_site_fract_y
_atom_site_fract_z
Pa1 Pa 0.0853 0.0000 0.3008
Pa2 Pa 0.1979 0.3475 0.2010
Se1 Se 0.0000 0.1660 0.0000
Se2 Se 0.0000 0.2329 0.5000
Se3 Se 0.1038 0.5000 0.8377
O1 O 0.2082 0.0000 0.6103
```

Main lines, in order of falling intensity (2θ = 15–90°):
(hkl), two_theta, I (rel.)
1 3 1, 29.5, 100
1 3 -1, 28.2, 48
2 2 -2, 35.7, 46
3 1 -1, 35.4, 45
1 3 2, 37.9, 41
2 0 1, 27.3, 36

---

5.
The following is a calculated PXRD pattern of Zn6O6Ne. It was derived from a DFT-relaxed cell (PBE, Alexandria), using Cu Kα X-rays.
Peak positions follow from Bragg's law for the DFT cell and can differ from measured ones.

Atomic structure:
```
data_Zn6O6Ne
_chemical_formula_sum 'Zn6 O6 Ne1'
_cell_length_a 5.6847
_cell_length_b 5.6847
_cell_length_c 5.6847
_cell_angle_alpha 90.00
_cell_angle_beta 90.00
_cell_angle_gamma 90.00
_space_group_name_H-M_alt 'P m -3'
_space_group_IT_number 200
_space_group_name_Hall '-P 2 2 3'
loop_
_atom_site_label
_atom_site_type_symbol
_atom_site_fract_x
_atom_site_fract_y
_atom_site_fract_z
Zn1 Zn 0.0000 0.2505 0.5000
O1 O 0.0000 0.5000 0.2499
Ne1 Ne 0.0000 0.0000 0.0000
```

Main lines, in order of falling intensity (2θ = 15–90°):
(hkl), two_theta, I (rel.)
2 1 0, 35.3, 100
1 1 0, 22.1, 83
2 1 1, 38.8, 62
2 2 2, 56.0, 42
3 2 1, 61.0, 28
2 0 0, 31.5, 28

---

6.
The following is a calculated PXRD pattern of CsS2O6. It was derived from a DFT-relaxed cell (PBE, Alexandria), using Cu Kα X-rays.
Peak positions follow from Bragg's law for the DFT cell and can differ from measured ones.

Atomic structure:
```
data_CsS2O6
_chemical_formula_sum 'Cs3 S6 O18'
_cell_length_a 6.6439
_cell_length_b 6.6439
_cell_length_c 17.7591
_cell_angle_alpha 90.00
_cell_angle_beta 90.00
_cell_angle_gamma 120.00
_space_group_name_H-M_alt 'R 3 m'
_space_group_IT_number 160
_space_group_name_Hall 'R 3 -2"'
loop_
_atom_site_label
_atom_site_type_symbol
_atom_site_fract_x
_atom_site_fract_y
_atom_site_fract_z
Cs1 Cs 0.0000 0.0000 0.0000
S1 S 0.0000 0.0000 0.6258
S2 S 0.0000 0.0000 0.7683
O1 O 0.0836 0.5418 0.4487
O2 O 0.2081 0.4163 0.2802
```

Main lines, in order of falling intensity (2θ = 15–90°):
(hkl), two_theta, I (rel.)
1 0 1, 16.2, 100
1 1 0, 26.8, 54
0 1 5, 29.6, 53
1 1 3, 30.9, 45
1 0 4, 25.3, 30
0 1 2, 18.4, 26

---

7.
The following is a calculated PXRD pattern of Ba6MgNb2IrCl2O12. It was derived from a DFT-relaxed cell (PBE, Alexandria), using Cu Kα X-rays.
Peak positions follow from Bragg's law for the DFT cell and can differ from measured ones.

Atomic structure:
```
data_Ba6MgNb2IrCl2O12
_chemical_formula_sum 'Ba12 Mg2 Nb4 Ir2 Cl4 O24'
_cell_length_a 10.4062
_cell_length_b 5.9179
_cell_length_c 15.8742
_cell_angle_alpha 90.00
_cell_angle_beta 95.54
_cell_angle_gamma 90.00
_space_group_name_H-M_alt 'C 1 m 1'
_space_group_IT_number 8
loop_
_space_group_symop_operation_xyz
'x,y,z'
'x,-y,z'
'x+1/2,y+1/2,z'
'x+1/2,-y+1/2,z'
loop_
_atom_site_label
_atom_site_type_symbol
_atom_site_fract_x
_atom_site_fract_y
_atom_site_fract_z
Ba1 Ba 0.0000 0.0000 0.0000
Ba2 Ba 0.0331 0.0000 0.4049
Ba3 Ba 0.0805 0.0000 0.6812
Ba4 Ba 0.3310 0.0000 0.1428
Ba5 Ba 0.3860 0.0000 0.5480
Ba6 Ba 0.4329 0.0000 0.7891
Mg1 Mg 0.2857 0.0000 0.9368
Nb1 Nb 0.1846 0.5000 0.9311
Nb2 Nb 0.2289 0.5000 0.5781
Ir1 Ir 0.2362 0.5000 0.7654
Cl1 Cl 0.0226 0.0000 0.1995
Cl2 Cl 0.3686 0.0000 0.3473
O1 O 0.0834 0.5000 0.6651
O2 O 0.1495 0.2515 0.5173
O3 O 0.1722 0.2352 0.8414
O4 O 0.2448 0.2453 0.0174
O5 O 0.3063 0.2722 0.6795
O6 O 0.3686 0.5000 0.8677
O7 O 0.3943 0.5000 0.5328
O8 O 0.4924 0.0000 0.9600
```

Main lines, in order of falling intensity (2θ = 15–90°):
(hkl), two_theta, I (rel.)
3 1 0, 30.0, 100
0 2 0, 30.2, 62
1 1 -3, 23.6, 33
2 2 3, 39.8, 33
1 1 4, 29.2, 30
1 1 -1, 17.9, 29

---

8.
The following is a calculated PXRD pattern of K6Na12Hg. It was derived from a DFT-relaxed cell (PBE, Alexandria), using Cu Kα X-rays.
Peak positions follow from Bragg's law for the DFT cell and can differ from measured ones.

Atomic structure:
```
data_K6Na12Hg
_chemical_formula_sum 'K18 Na36 Hg3'
_cell_length_a 14.3811
_cell_length_b 14.3811
_cell_length_c 14.6431
_cell_angle_alpha 90.00
_cell_angle_beta 90.00
_cell_angle_gamma 120.00
_space_group_name_H-M_alt 'R -3'
_space_group_IT_number 148
_space_group_name_Hall '-R 3'
loop_
_atom_site_label
_atom_site_type_symbol
_atom_site_fract_x
_atom_site_fract_y
_atom_site_fract_z
K1 K 0.0273 0.4241 0.2215
Na1 Na 0.0439 0.1609 0.3213
Na2 Na 0.0598 0.8856 0.8960
Hg1 Hg 0.0000 0.0000 0.5000
```

Main lines, in order of falling intensity (2θ = 15–90°):
(hkl), two_theta, I (rel.)
4 -1 2, 28.6, 100
1 3 1, 26.5, 80
0 3 3, 28.2, 64
3 -1 4, 30.9, 50
3 -1 1, 19.8, 38
0 1 5, 31.4, 33

---

9.
The following is a calculated PXRD pattern of Tb2NiGe6. It was derived from a DFT-relaxed cell (PBE, Alexandria), using Cu Kα X-rays.
Peak positions follow from Bragg's law for the DFT cell and can differ from measured ones.

Atomic structure:
```
data_Tb2NiGe6
_chemical_formula_sum 'Tb4 Ni2 Ge12'
_cell_length_a 4.0760
_cell_length_b 4.0212
_cell_length_c 21.4722
_cell_angle_alpha 90.00
_cell_angle_beta 90.00
_cell_angle_gamma 90.00
_space_group_name_H-M_alt 'A m m 2'
_space_group_IT_number 38
loop_
_space_group_symop_operation_xyz
'x,y,z'
'-x,-y,z'
'-x,y,z'
'x,-y,z'
'x,y+1/2,z+1/2'
'-x,-y+1/2,z+1/2'
'-x,y+1/2,z+1/2'
'x,-y+1/2,z+1/2'
loop_
_atom_site_label
_atom_site_type_symbol
_atom_site_fract_x
_atom_site_fract_y
_atom_site_fract_z
Tb1 Tb 0.0000 0.0000 0.0000
Tb2 Tb 0.0000 0.0000 0.3371
Ni1 Ni 0.5000 0.0000 0.5584
Ge1 Ge 0.0000 0.0000 0.6149
Ge2 Ge 0.0000 0.0000 0.7319
Ge3 Ge 0.5000 0.0000 0.1155
Ge4 Ge 0.5000 0.0000 0.2332
Ge5 Ge 0.5000 0.0000 0.4507
Ge6 Ge 0.5000 0.0000 0.8769
```

Main lines, in order of falling intensity (2θ = 15–90°):
(hkl), two_theta, I (rel.)
1 1 3, 33.7, 100
0 0 8, 33.3, 38
2 0 0, 44.5, 24
1 1 5, 37.8, 23
0 2 0, 45.1, 23
0 1 9, 44.1, 18

---

10.
The following is a calculated PXRD pattern of PuP3Ru5. It was derived from a DFT-relaxed cell (PBE, Alexandria), using Cu Kα X-rays.
Peak positions follow from Bragg's law for the DFT cell and can differ from measured ones.

Atomic structure:
```
data_PuP3Ru5
_chemical_formula_sum 'Pu4 P12 Ru20'
_cell_length_a 3.8911
_cell_length_b 12.1996
_cell_length_c 11.9115
_cell_angle_alpha 90.00
_cell_angle_beta 90.00
_cell_angle_gamma 90.00
_space_group_name_H-M_alt 'C m c m'
_space_group_IT_number 63
_space_group_name_Hall '-C 2c 2'
loop_
_atom_site_label
_atom_site_type_symbol
_atom_site_fract_x
_atom_site_fract_y
_atom_site_fract_z
Pu1 Pu 0.0000 0.1603 0.2500
P1 P 0.0000 0.1314 0.7500
P2 P 0.0000 0.3875 0.5483
Ru1 Ru 0.0000 0.0000 0.0000
Ru2 Ru 0.0000 0.2064 0.5733
Ru3 Ru 0.0000 0.4415 0.1460
```

Main lines, in order of falling intensity (2θ = 15–90°):
(hkl), two_theta, I (rel.)
1 1 3, 33.0, 100
1 1 4, 38.8, 53
1 3 2, 35.3, 47
1 3 0, 31.8, 41
0 2 3, 26.8, 39
2 0 0, 46.7, 37

---

11.
The following is a calculated PXRD pattern of Na5B6C4. It was derived from a DFT-relaxed cell (PBE, Alexandria), using Cu Kα X-rays.
Peak positions follow from Bragg's law for the DFT cell and can differ from measured ones.

Atomic structure:
```
data_Na5B6C4
_chemical_formula_sum 'Na20 B24 C16'
_cell_length_a 17.6542
_cell_length_b 2.8336
_cell_length_c 13.1216
_cell_angle_alpha 90.00
_cell_angle_beta 113.92
_cell_angle_gamma 90.00
_space_group_name_H-M_alt 'C 1 2/m 1'
_space_group_IT_number 12
loop_
_space_group_symop_operation_xyz
'x,y,z'
'-x,-y,-z'
'-x,y,-z'
'x,-y,z'
'x+1/2,y+1/2,z'
'-x+1/2,-y+1/2,-z'
'-x+1/2,y+1/2,-z'
'x+1/2,-y+1/2,z'
loop_
_atom_site_label
_atom_site_type_symbol
_atom_site_fract_x
_atom_site_fract_y
_atom_site_fract_z
Na1 Na 0.0000 0.0000 0.0000
Na2 Na 0.0000 0.0000 0.5000
Na3 Na 0.0997 0.5000 0.1983
Na4 Na 0.1005 0.5000 0.7016
Na5 Na 0.1987 0.0000 0.3994
Na6 Na 0.2002 0.0000 0.9011
B1 B 0.0361 0.0000 0.8236
B2 B 0.0609 0.5000 0.3708
B3 B 0.1317 0.5000 0.5151
B4 B 0.1337 0.5000 0.0174
B5 B 0.1719 0.0000 0.5953
B6 B 0.2314 0.0000 0.2115
C1 C 0.0301 0.0000 0.3073
C2 C 0.0680 0.5000 0.8870
C3 C 0.1658 0.0000 0.0812
C4 C 0.2362 0.0000 0.7243
```

Main lines, in order of falling intensity (2θ = 15–90°):
(hkl), two_theta, I (rel.)
3 1 -4, 42.4, 100
5 1 0, 42.5, 100
8 0 -4, 42.7, 77
2 0 -6, 41.9, 51
6 0 2, 42.0, 51
1 1 2, 36.4, 35

---

12.
The following is a calculated PXRD pattern of K3Pm3ThSe8. It was derived from a DFT-relaxed cell (PBE, Alexandria), using Cu Kα X-rays.
Peak positions follow from Bragg's law for the DFT cell and can differ from measured ones.

Atomic structure:
```
data_K3Pm3ThSe8
_chemical_formula_sum 'K9 Pm9 Th3 Se24'
_cell_length_a 8.6081
_cell_length_b 8.6081
_cell_length_c 23.4235
_cell_angle_alpha 90.00
_cell_angle_beta 90.00
_cell_angle_gamma 120.00
_space_group_name_H-M_alt 'R -3 m'
_space_group_IT_number 166
_space_group_name_Hall '-R 3 2"'
loop_
_atom_site_label
_atom_site_type_symbol
_atom_site_fract_x
_atom_site_fract_y
_atom_site_fract_z
K1 K 0.0000 0.5000 0.0000
Pm1 Pm 0.0000 0.5000 0.5000
Th1 Th 0.0000 0.0000 0.5000
Se1 Se 0.0000 0.0000 0.2361
Se2 Se 0.0035 0.5017 0.2349
```

Main lines, in order of falling intensity (2θ = 15–90°):
(hkl), two_theta, I (rel.)
0 2 4, 28.4, 100
2 2 0, 42.0, 37
2 0 8, 39.1, 35
0 2 7, 36.1, 24
4 0 4, 51.5, 19
0 2 1, 24.2, 18